Starting from a structure optimized by DFT (GGA-PBE), the PXRD pattern of ThB4Os4 was computed for Cu Kα (λ = 1.5418 Å).

The 10 most intense peaks (2θ from 15° to 90°), sorted by position:
hkl, two_theta, I (rel.)
1 0 1, 25.06, 13
1 1 1, 27.70, 16
1 2 1, 34.49, 100
3 1 0, 37.25, 63
2 2 1, 40.27, 26
1 3 1, 43.76, 14
1 0 2, 46.80, 23
3 2 1, 48.62, 23
5 0 1, 65.40, 16
4 1 2, 69.01, 14

Crystal structure
Unit cell a=7.634 b=7.634 c=4.014 alpha=90.00 beta=90.00 gamma=90.00
Space group P4_2/n (No. 86, origin choice 2)
One atom of each set of equivalent atoms:
Th (0.250, 0.250, 0.250)
B (0.030, 0.587, 0.139)
Os (0.104, 0.857, 0.140)